Entry 1:
Structure and computed PXRD pattern of Sc2TlCd (a cell relaxed with GGA-PBE; copper Kα).
No peak broadening, texture or thermal motion is included.

Cell and atoms:
Unit cell a=4.2978 b=4.2978 c=10.0627 alpha=90.00 beta=90.00 gamma=90.00
Sites, in units of the cell vectors:
1 Sc 0.0000 0.0000 0.0000
2 Sc 0.0000 0.5000 0.2500
3 Sc 0.5000 0.0000 0.7500
4 Sc 0.5000 0.5000 0.5000
5 Tl 0.0000 0.5000 0.7500
6 Tl 0.5000 0.0000 0.2500
7 Cd 0.0000 0.0000 0.5000
8 Cd 0.5000 0.5000 0.0000

Main lines, in order of rising 2θ (15° ≤ 2θ ≤ 90°):
- hkl 1 0 1, 3.952 Å, 22.50 deg, I 50
- hkl 1 0 3, 2.644 Å, 33.90 deg, I 18
- hkl 1 1 2, 2.601 Å, 34.48 deg, I 100
- hkl 0 0 4, 2.516 Å, 35.69 deg, I 23
- hkl 2 0 0, 2.149 Å, 42.05 deg, I 29
- hkl 2 1 1, 1.888 Å, 48.20 deg, I 14
- hkl 2 1 3, 1.668 Å, 55.07 deg, I 10
- hkl 2 0 4, 1.634 Å, 56.31 deg, I 24
- hkl 2 2 0, 1.519 Å, 60.98 deg, I 9
- hkl 1 1 6, 1.468 Å, 63.34 deg, I 16
- hkl 3 1 2, 1.312 Å, 71.97 deg, I 22
- hkl 2 2 4, 1.301 Å, 72.70 deg, I 11

Entry 2:
Structure and computed PXRD pattern of ScTlCd (a cell relaxed with GGA-PBE; copper Kα).
No peak broadening, texture or thermal motion is included.

Cell and atoms:
Unit cell a=4.8658 b=5.9433 c=5.9793 alpha=68.96 beta=66.05 gamma=65.92
Sites, in units of the cell vectors:
1 Sc 0.0093 0.2421 0.2412
2 Sc 0.9907 0.7579 0.7588
3 Tl 0.3265 0.7076 0.1353
4 Tl 0.6735 0.2924 0.8647
5 Cd 0.3410 0.2081 0.6132
6 Cd 0.6590 0.7919 0.3868

Main lines, in order of rising 2θ (15° ≤ 2θ ≤ 90°):
- hkl 0 1 1, 4.273 Å, 20.79 deg, I 15
- hkl 1 1 1, 4.228 Å, 21.01 deg, I 27
- hkl 1 1 0, 3.947 Å, 22.53 deg, I 13
- hkl 0 1 -1, 3.375 Å, 26.41 deg, I 34
- hkl 0 2 0, 2.641 Å, 33.94 deg, I 100
- hkl 1 2 2, 2.458 Å, 36.55 deg, I 71
- hkl 2 1 1, 2.433 Å, 36.95 deg, I 35
- hkl 1 0 -2, 1.993 Å, 45.51 deg, I 16
- hkl 1 3 1, 1.981 Å, 45.80 deg, I 16
- hkl 2 2 0, 1.974 Å, 45.99 deg, I 16
- hkl 2 -1 1, 1.789 Å, 51.06 deg, I 22
- hkl -1 3 1, 1.452 Å, 64.11 deg, I 15

Entry 3:
Structure and computed PXRD pattern of Sc2Tl3Cd3 (a cell relaxed with GGA-PBE; copper Kα).
No peak broadening, texture or thermal motion is included.

Cell and atoms:
Unit cell a=4.5167 b=4.6764 c=8.8062 alpha=90.00 beta=90.00 gamma=90.00
Sites, in units of the cell vectors:
1 Sc 0.0000 0.0000 0.2487
2 Sc 0.0000 0.0000 0.7513
3 Tl 0.0000 0.5000 0.0000
4 Tl 0.5000 0.0000 0.0000
5 Tl 0.5000 0.0000 0.5000
6 Cd 0.0000 0.5000 0.5000
7 Cd 0.5000 0.5000 0.2590
8 Cd 0.5000 0.5000 0.7410

Main lines, in order of rising 2θ (15° ≤ 2θ ≤ 90°):
- hkl 0 0 2, 4.403 Å, 20.17 deg, I 13
- hkl 1 1 0, 3.249 Å, 27.45 deg, I 13
- hkl 1 1 2, 2.614 Å, 34.30 deg, I 100
- hkl 0 2 0, 2.338 Å, 38.50 deg, I 18
- hkl 2 0 0, 2.258 Å, 39.92 deg, I 17
- hkl 0 0 4, 2.202 Å, 41.00 deg, I 15
- hkl 2 2 0, 1.624 Å, 56.67 deg, I 12
- hkl 0 2 4, 1.603 Å, 57.50 deg, I 11
- hkl 1 3 2, 1.397 Å, 66.97 deg, I 14
- hkl 3 1 2, 1.363 Å, 68.90 deg, I 13
- hkl 1 1 6, 1.338 Å, 70.39 deg, I 12
- hkl 2 2 4, 1.307 Å, 72.28 deg, I 11

Entry 4:
Structure and computed PXRD pattern of Tm3ScCd4 (a cell relaxed with GGA-PBE; copper Kα).
No peak broadening, texture or thermal motion is included.

Cell and atoms:
Unit cell a=3.6523 b=3.6523 c=14.6635 alpha=90.00 beta=90.00 gamma=90.00
Sites, in units of the cell vectors:
1 Tm 0.0000 0.0000 0.0000
2 Tm 0.0000 0.0000 0.2554
3 Tm 0.0000 0.0000 0.7446
4 Sc 0.0000 0.0000 0.5000
5 Cd 0.5000 0.5000 0.1277
6 Cd 0.5000 0.5000 0.3854
7 Cd 0.5000 0.5000 0.6146
8 Cd 0.5000 0.5000 0.8723

Main lines, in order of rising 2θ (15° ≤ 2θ ≤ 90°):
- hkl 1 0 1, 3.544 Å, 25.13 deg, I 2
- hkl 1 0 2, 3.269 Å, 27.28 deg, I 3
- hkl 1 0 3, 2.926 Å, 30.55 deg, I 4
- hkl 1 1 0, 2.586 Å, 34.69 deg, I 100
- hkl 0 0 8, 1.833 Å, 49.74 deg, I 5
- hkl 2 0 0, 1.826 Å, 49.94 deg, I 12
- hkl 1 1 8, 1.495 Å, 62.10 deg, I 11
- hkl 2 1 4, 1.492 Å, 62.22 deg, I 24
- hkl 2 0 8, 1.294 Å, 73.16 deg, I 7
- hkl 2 2 0, 1.291 Å, 73.31 deg, I 4
- hkl 1 0 12, 1.159 Å, 83.41 deg, I 4
- hkl 3 1 0, 1.155 Å, 83.73 deg, I 10